# 1
Diffraction record for LiCoPO4. The X-ray diffraction stick pattern is simulated, not measured: it uses DFT lattice parameters and positions (PBE+U) and Cu Ka.
No peak broadening, texture or thermal motion is included.

Peak list (10 most intense, 15 to 90 degrees two-theta, most intense first)
2theta	intensity
16.87	100.0
30.32	24.0
27.29	18.3
33.73	15.4
34.42	15.3
36.05	9.5
42.03	9.0
45.94	8.8
25.27	8.0
22.18	7.7

```
LiCoPO4
1.0
5.4534 0.0000 0.0000
0.0081 6.1532 0.0000
2.5883 -0.0011 10.3069
Li Co P O
4 4 4 16
Direct
0.0000 0.0000 0.0000
0.0408 0.5008 0.0972
0.4986 0.5644 0.4986
0.5396 0.0650 0.5961
0.1338 0.8647 0.3964
0.4064 0.2005 0.1993
0.6346 0.7009 0.8965
0.9048 0.3647 0.6993
0.0040 0.3753 0.4376
0.0345 0.8756 0.6579
0.5047 0.1898 0.9379
0.5348 0.6899 0.1582
0.0417 0.0798 0.7412
0.0719 0.1759 0.3427
0.1965 0.3881 0.5231
0.2411 0.2231 0.0371
0.2980 0.8429 0.5585
0.3426 0.6777 0.0725
0.4667 0.8890 0.2532
0.4978 0.9858 0.8543
0.5405 0.4854 0.2416
0.5728 0.3893 0.8433
0.6968 0.1760 0.0238
0.7403 0.3436 0.5368
0.7986 0.7216 0.0591
0.8421 0.8887 0.5722
0.9670 0.6761 0.7526
0.9973 0.5798 0.3542
```

# 2
Diffraction record for LiFeF4. The X-ray diffraction stick pattern is simulated, not measured: it uses DFT lattice parameters and positions (PBE+U) and Cu Ka.
No peak broadening, texture or thermal motion is included.

Peak list (10 most intense, 15 to 90 degrees two-theta, most intense first)
2theta	intensity
24.91	100.0
17.15	95.9
23.73	53.4
29.42	37.9
34.67	35.0
56.23	19.3
47.74	18.3
42.46	17.6
58.97	15.8
55.33	15.7

```
LiFeF4
1.0
7.4999 0.0000 0.0000
0.0000 10.3436 0.0000
0.0000 0.0000 7.6197
Li Fe F
8 8 32
Direct
0.0000 0.2193 0.0000
0.0000 0.2349 0.4566
0.0000 0.7245 0.2598
0.0000 0.7299 0.6878
0.5000 0.2701 0.1878
0.5000 0.2755 0.7598
0.5000 0.7651 0.9566
0.5000 0.7807 0.5000
0.2465 0.4962 0.9300
0.2502 0.0049 0.6768
0.2498 0.9951 0.1768
0.2535 0.5038 0.4300
0.7465 0.5038 0.4300
0.7498 0.0049 0.6768
0.7502 0.9951 0.1768
0.7535 0.4962 0.9300
0.0000 0.4124 0.9077
0.0000 0.4327 0.4691
0.0000 0.9184 0.2212
0.0000 0.9296 0.6421
0.1630 0.1641 0.2054
0.1672 0.6601 0.8730
0.1692 0.6774 0.4606
0.1761 0.1759 0.6328
0.1898 0.0246 0.9262
0.1905 0.5305 0.1785
0.3095 0.4695 0.6785
0.3102 0.9754 0.4262
0.3239 0.8241 0.1328
0.3308 0.3226 0.9606
0.3328 0.3399 0.3730
0.3370 0.8359 0.7054
0.5000 0.0704 0.1421
0.5000 0.0816 0.7212
0.5000 0.5673 0.9691
0.5000 0.5876 0.4077
0.6630 0.8359 0.7054
0.6672 0.3399 0.3730
0.6692 0.3226 0.9606
0.6761 0.8241 0.1328
0.6898 0.9754 0.4262
0.6905 0.4695 0.6785
0.8095 0.5305 0.1785
0.8102 0.0246 0.9262
0.8239 0.1759 0.6328
0.8308 0.6774 0.4606
0.8328 0.6601 0.8730
0.8370 0.1641 0.2054
```

# 3
Diffraction record for LiMn3B3O9. The X-ray diffraction stick pattern is simulated, not measured: it uses DFT lattice parameters and positions (PBE+U) and Cu Ka.
No peak broadening, texture or thermal motion is included.

Peak list (10 most intense, 15 to 90 degrees two-theta, most intense first)
2theta	intensity
19.49	100.0
22.40	88.5
22.50	81.8
35.24	73.7
33.25	45.6
37.28	31.4
41.45	30.0
20.38	29.4
51.65	28.9
34.59	28.8

```
LiMn3B3O9
1.0
5.2968 0.0000 0.0000
2.2219 5.3538 0.0000
0.2041 1.1253 13.0716
Li Mn B O
2 6 6 18
Direct
0.1478 0.3752 0.2951
0.8522 0.6248 0.7049
0.0628 0.6451 0.0835
0.2978 0.6861 0.5699
0.3420 0.0027 0.7578
0.6580 0.9973 0.2422
0.7022 0.3139 0.4301
0.9372 0.3549 0.9165
0.1107 0.1124 0.1341
0.2345 0.2171 0.5231
0.4183 0.4605 0.7961
0.5817 0.5395 0.2039
0.7655 0.7829 0.4769
0.8893 0.8876 0.8659
0.0706 0.0067 0.8821
0.0813 0.2859 0.4354
0.1158 0.2954 0.0572
0.1963 0.3876 0.7858
0.2308 0.0324 0.5966
0.2499 0.0742 0.2229
0.4205 0.3298 0.5410
0.4293 0.6029 0.1164
0.4675 0.6147 0.7166
0.5325 0.3853 0.2834
0.5707 0.3971 0.8836
0.5795 0.6702 0.4590
0.7501 0.9258 0.7771
0.7692 0.9676 0.4034
0.8037 0.6124 0.2142
0.8842 0.7046 0.9428
0.9187 0.7141 0.5646
0.9294 0.9933 0.1179
```

# 4
Diffraction record for Li4V3Ni2Sb3O16. The X-ray diffraction stick pattern is simulated, not measured: it uses DFT lattice parameters and positions (PBE+U) and Cu Ka.
No peak broadening, texture or thermal motion is included.

Peak list (10 most intense, 15 to 90 degrees two-theta, most intense first)
2theta	intensity
18.08	100.0
18.95	78.3
35.04	76.1
34.57	39.3
44.05	34.4
19.05	33.9
60.31	29.6
24.63	28.1
43.86	26.7
16.67	26.1

```
Li4V3Ni2Sb3O16
1.0
5.3225 -3.0589 0.0000
5.3225 3.0589 0.0000
-0.0809 0.0000 9.8104
Li V Ni Sb O
4 3 2 3 16
Direct
0.0000 0.0000 0.0000
0.0011 0.0011 0.5152
0.3310 0.3310 0.6312
0.6650 0.6650 0.1072
0.1614 0.1614 0.2903
0.3316 0.8230 0.7920
0.8230 0.3316 0.7920
0.3202 0.3202 0.9951
0.6526 0.6526 0.5325
0.1622 0.6552 0.2901
0.6552 0.1622 0.2901
0.8233 0.8233 0.7916
0.0269 0.4800 0.1783
0.1478 0.6748 0.9054
0.1520 0.1520 0.9008
0.3037 0.8339 0.3982
0.3316 0.3316 0.4042
0.4790 0.4790 0.1727
0.4800 0.0269 0.1783
0.5116 0.5116 0.6733
0.5149 0.9586 0.6689
0.6657 0.6657 0.9049
0.6748 0.1478 0.9054
0.8339 0.3037 0.3982
0.8380 0.8380 0.4029
0.9586 0.5149 0.6689
0.9879 0.9879 0.6934
0.9891 0.9891 0.1851
```

# 5
Diffraction record for Cs3MnZn3P12O36. The X-ray diffraction stick pattern is simulated, not measured: it uses DFT lattice parameters and positions (PBE+U) and Cu Ka.
No peak broadening, texture or thermal motion is included.

Peak list (10 most intense, 15 to 90 degrees two-theta, most intense first)
2theta	intensity
22.32	100.0
29.99	74.0
21.72	56.6
27.01	51.6
29.12	47.2
27.95	43.8
24.33	29.5
21.49	28.1
28.36	26.6
27.62	24.4

```
Cs3MnZn3P12O36
1.0
8.2001 -5.0223 0.0000
8.2001 5.0223 0.0000
-7.5510 0.0000 9.9532
Cs Mn Zn P O
3 1 3 12 36
Direct
0.0000 0.0000 0.0000
0.2116 0.7856 0.5011
0.7856 0.2116 0.5011
0.7890 0.7890 0.0859
0.2064 0.2064 0.9119
0.2464 0.2464 0.4278
0.7522 0.7522 0.5736
0.1613 0.5785 0.6960
0.1935 0.6023 0.1291
0.2343 0.2343 0.6737
0.3263 0.3263 0.2287
0.3904 0.8023 0.8705
0.4163 0.8351 0.3043
0.5785 0.1613 0.6960
0.6023 0.1935 0.1291
0.6676 0.6676 0.7737
0.7585 0.7585 0.3208
0.8023 0.3904 0.8705
0.8351 0.4163 0.3043
0.0006 0.7086 0.7070
0.0477 0.7508 0.1566
0.1710 0.1710 0.7238
0.1723 0.4712 0.9920
0.1740 0.1740 0.5233
0.1825 0.4358 0.7390
0.1959 0.5040 0.5702
0.2235 0.2235 0.0941
0.2444 0.9462 0.8441
0.2679 0.5202 0.2405
0.2879 0.9959 0.2935
0.3201 0.6504 0.8260
0.3354 0.3354 0.3552
0.3431 0.6784 0.1756
0.4358 0.1825 0.7390
0.4712 0.1723 0.9920
0.4754 0.7278 0.7597
0.4957 0.8000 0.4306
0.5040 0.1959 0.5702
0.5202 0.2679 0.2405
0.5287 0.8204 0.0066
0.5589 0.8130 0.2590
0.6504 0.3201 0.8260
0.6684 0.6684 0.6555
0.6784 0.3431 0.1756
0.7086 0.0006 0.7070
0.7278 0.4754 0.7597
0.7508 0.0477 0.1566
0.7703 0.7703 0.9149
0.8000 0.4957 0.4306
0.8130 0.5589 0.2590
0.8188 0.8188 0.2636
0.8204 0.5287 0.0066
0.8251 0.8251 0.4715
0.9462 0.2444 0.8441
0.9959 0.2879 0.2935
```

# 6
Diffraction record for MgMn4Zn2O8. The X-ray diffraction stick pattern is simulated, not measured: it uses DFT lattice parameters and positions (PBE+U) and Cu Ka.
No peak broadening, texture or thermal motion is included.

Peak list (10 most intense, 15 to 90 degrees two-theta, most intense first)
2theta	intensity
33.36	100.0
39.35	70.8
32.32	66.3
33.90	54.7
29.71	53.9
36.00	46.5
44.19	39.3
53.69	33.1
33.54	32.2
28.91	31.9

```
MgMn4Zn2O8
1.0
6.0511 0.0000 0.0000
-2.9140 5.3193 0.0000
-2.4076 -2.1325 5.3762
Mg Mn Zn O
1 4 2 8
Direct
0.0000 0.0000 0.0000
0.0136 0.5100 0.0115
0.2980 0.1693 0.4771
0.5155 0.5046 0.0182
0.5178 0.0124 0.0175
0.0588 0.5288 0.5311
0.7514 0.8649 0.5410
0.0141 0.2760 0.2655
0.0725 0.2635 0.7879
0.4507 0.2142 0.2200
0.4786 0.7571 0.1988
0.5448 0.7889 0.7802
0.5536 0.2595 0.8357
0.9494 0.7576 0.2209
0.9935 0.7356 0.7375
```